Gd3InCo3: computed XRD peak list (CuKα), based on a crystal structure in OQMD, relaxed with PBE.
Lines closer than 0.1° are merged.

Top 10 peaks for 2θ = 15–90°, sorted by position:
- 2θ 30.51, I 58.2, hkl 1 1 3
- 2θ 32.45, I 56.1, hkl 0 2 4
- 2θ 34.01, I 100.0, hkl 1 3 0
- 2θ 35.53, I 96.3, hkl 1 1 4
- 2θ 39.87, I 50.5, hkl 1 3 3
- 2θ 41.37, I 26.1, hkl 0 4 3
- 2θ 42.37, I 49.1, hkl 2 0 0
- 2θ 54.35, I 37.5, hkl 2 2 4
- 2θ 57.88, I 19.0, hkl 1 5 4
- 2θ 68.98, I 18.0, hkl 1 7 0

Unit cell a=4.2669 b=10.0551 c=13.1995 alpha=90.00 beta=90.00 gamma=90.00
Space group Cmcm (No. 63)
Asymmetric unit:
1 Gd 0.0000 0.0045 0.2500 [4 per cell]
2 Gd 0.0000 0.2952 0.1043 [8 per cell]
3 In 0.0000 0.0000 0.0000 [4 per cell]
4 Co 0.0000 0.2940 0.7500 [4 per cell]
5 Co 0.0000 0.4082 0.6036 [8 per cell]